For HgTeHO3F, DFT lattice parameters and positions (GGA-PBE) gives the theoretical X-ray powder pattern in this record (a wavelength of 1.5418 Å).

Cell lengths 9.1160, 8.2239, 5.9685 Å; angles 90.00, 90.00, 90.00 degrees
Sites, in units of the cell vectors:
Hg: 0.1405 0.0674 0.0000
Hg: 0.3595 0.0674 0.5000
Hg: 0.6405 0.9326 0.0000
Hg: 0.8595 0.9326 0.5000
Te: 0.0613 0.6815 0.8169
Te: 0.4387 0.6815 0.3169
Te: 0.5613 0.3185 0.8169
Te: 0.9387 0.3185 0.3169
H: 0.0798 0.6855 0.3832
H: 0.4202 0.6855 0.8832
H: 0.5798 0.3145 0.3832
H: 0.9202 0.3145 0.8832
O: 0.1155 0.6121 0.5055
O: 0.1337 0.2493 0.2391
O: 0.1520 0.8891 0.7556
O: 0.3480 0.8891 0.2556
O: 0.3663 0.2493 0.7391
O: 0.3845 0.6121 0.0055
O: 0.6155 0.3879 0.5055
O: 0.6337 0.7507 0.2391
O: 0.6520 0.1109 0.7556
O: 0.8480 0.1109 0.2556
O: 0.8663 0.7507 0.7391
O: 0.8845 0.3879 0.0055
F: 0.0155 0.7804 0.1553
F: 0.4845 0.7804 0.6553
F: 0.5155 0.2196 0.1553
F: 0.9845 0.2196 0.6553

Main lines, sorted by position (10 to 90 degrees two-theta):
| d [Å] | intensity |
| --- | --- |
| 8.224 | 1000 |
| 4.268 | 530 |
| 3.748 | 442 |
| 3.622 | 966 |
| 3.315 | 958 |
| 3.174 | 487 |

For YAl2Ag9, DFT lattice parameters and positions (GGA-PBE) gives the theoretical X-ray powder pattern in this record (a wavelength of 1.5418 Å).

Cell lengths 8.7736, 8.7736, 8.7736 Å; angles 99.36, 99.36, 132.44 degrees
Sites, in units of the cell vectors:
Y: 0.3750 0.6250 0.7500
Y: 0.6250 0.3750 0.2500
Al: 0.0000 0.0000 0.0000
Al: 0.0000 0.0000 0.5000
Al: 0.0000 0.5000 0.0000
Al: 0.5000 0.0000 0.5000
Ag: 0.1251 0.5569 0.3250
Ag: 0.1251 0.8001 0.5681
Ag: 0.1250 0.8750 0.2500
Ag: 0.1999 0.2680 0.3250
Ag: 0.1999 0.8749 0.9319
Ag: 0.2680 0.1999 0.8250
Ag: 0.2680 0.4431 0.0681
Ag: 0.4431 0.2680 0.5681
Ag: 0.4431 0.8749 0.1750
Ag: 0.5569 0.1251 0.8250
Ag: 0.5569 0.7320 0.4319
Ag: 0.7320 0.5569 0.9319
Ag: 0.7320 0.8001 0.1750
Ag: 0.8001 0.1251 0.0681
Ag: 0.8001 0.7320 0.6750
Ag: 0.8750 0.1250 0.7500
Ag: 0.8749 0.1999 0.4319
Ag: 0.8749 0.4431 0.6750

Main lines, sorted by position (10 to 90 degrees two-theta):
| d [Å] | intensity |
| --- | --- |
| 2.539 | 651 |
| 2.520 | 1000 |
| 2.309 | 206 |
| 2.162 | 903 |
| 2.138 | 254 |
| 1.462 | 270 |

For Rb6GaBi4, DFT lattice parameters and positions (GGA-PBE) gives the theoretical X-ray powder pattern in this record (a wavelength of 1.5418 Å).

Cell lengths 12.1438, 12.1438, 8.5083 Å; angles 90.00, 90.00, 120.00 degrees
Sites, in units of the cell vectors:
Rb: 0.0413 0.5206 0.0000
Rb: 0.1457 0.2913 0.2766
Rb: 0.1457 0.8543 0.2766
Rb: 0.2913 0.1457 0.7766
Rb: 0.4794 0.5206 0.0000
Rb: 0.4794 0.9587 0.0000
Rb: 0.5206 0.0413 0.5000
Rb: 0.5206 0.4794 0.5000
Rb: 0.7087 0.8543 0.2766
Rb: 0.8543 0.1457 0.7766
Rb: 0.8543 0.7087 0.7766
Rb: 0.9587 0.4794 0.5000
Ga: 0.3333 0.6667 0.6921
Ga: 0.6667 0.3333 0.1921
Bi: 0.2005 0.4010 0.7045
Bi: 0.2005 0.7995 0.7045
Bi: 0.3333 0.6667 0.3550
Bi: 0.4010 0.2005 0.2045
Bi: 0.5990 0.7995 0.7045
Bi: 0.6667 0.3333 0.8550
Bi: 0.7995 0.2005 0.2045
Bi: 0.7995 0.5990 0.2045

Main lines, sorted by position (10 to 90 degrees two-theta):
| d [Å] | intensity |
| --- | --- |
| 6.615 | 535 |
| 3.601 | 544 |
| 3.307 | 965 |
| 3.241 | 804 |
| 3.036 | 1000 |
| 1.838 | 593 |

For LiNbTe3O12, DFT lattice parameters and positions (GGA-PBE) gives the theoretical X-ray powder pattern in this record (a wavelength of 1.5418 Å).

Cell lengths 5.1497, 5.3811, 7.4612 Å; angles 86.86, 89.96, 89.85 degrees
Sites, in units of the cell vectors:
Li: 0.0000 0.0000 0.0000
Nb: 0.9940 0.5771 0.7805
Te: 0.4933 0.0826 0.7871
Te: 0.5021 0.0836 0.2933
Te: 0.9992 0.5790 0.2904
O: 0.1144 0.5838 0.5334
O: 0.1901 0.2659 0.8544
O: 0.1909 0.8945 0.2261
O: 0.2983 0.7897 0.8479
O: 0.3091 0.3881 0.2243
O: 0.3699 0.0835 0.5379
O: 0.6282 0.0871 0.0433
O: 0.6801 0.3882 0.7403
O: 0.6916 0.7760 0.3594
O: 0.8037 0.9013 0.7475
O: 0.8125 0.2705 0.3557
O: 0.8940 0.5990 0.0473

Main lines, sorted by position (10 to 90 degrees two-theta):
| d [Å] | intensity |
| --- | --- |
| 3.720 | 1000 |
| 2.684 | 328 |
| 2.583 | 148 |
| 2.118 | 87 |
| 1.862 | 110 |
| 1.691 | 205 |

For Ce3Ag11, DFT lattice parameters and positions (GGA-PBE) gives the theoretical X-ray powder pattern in this record (a wavelength of 1.5418 Å).

Cell lengths 8.6760, 8.6760, 8.6760 Å; angles 148.46, 112.23, 76.67 degrees
Sites, in units of the cell vectors:
Ce: 0.0000 0.0000 0.0000
Ce: 0.2994 0.2994 0.0000
Ce: 0.7006 0.7006 0.0000
Ag: 0.0285 0.6699 0.3586
Ag: 0.1523 0.8725 0.2798
Ag: 0.3114 0.6699 0.6414
Ag: 0.3123 0.5000 0.8123
Ag: 0.4072 0.1275 0.2798
Ag: 0.5000 0.0000 0.5000
Ag: 0.5928 0.8725 0.7202
Ag: 0.6877 0.5000 0.1877
Ag: 0.6886 0.3301 0.3586
Ag: 0.8477 0.1275 0.7202
Ag: 0.9715 0.3301 0.6414

Main lines, sorted by position (10 to 90 degrees two-theta):
| d [Å] | intensity |
| --- | --- |
| 2.783 | 304 |
| 2.709 | 1000 |
| 2.662 | 356 |
| 2.628 | 292 |
| 2.479 | 425 |
| 2.358 | 937 |

For FeSnIrRu, DFT lattice parameters and positions (GGA-PBE) gives the theoretical X-ray powder pattern in this record (a wavelength of 1.5418 Å).

Cell lengths 6.2595, 6.2595, 6.2595 Å; angles 90.00, 90.00, 90.00 degrees
Sites, in units of the cell vectors:
Fe: 0.0000 0.0000 0.0000
Fe: 0.0000 0.5000 0.5000
Fe: 0.5000 0.0000 0.5000
Fe: 0.5000 0.5000 0.0000
Sn: 0.0000 0.0000 0.5000
Sn: 0.0000 0.5000 0.0000
Sn: 0.5000 0.0000 0.0000
Sn: 0.5000 0.5000 0.5000
Ir: 0.2500 0.2500 0.7500
Ir: 0.2500 0.7500 0.2500
Ir: 0.7500 0.2500 0.2500
Ir: 0.7500 0.7500 0.7500
Ru: 0.2500 0.2500 0.2500
Ru: 0.2500 0.7500 0.7500
Ru: 0.7500 0.2500 0.7500
Ru: 0.7500 0.7500 0.2500

Main lines, sorted by position (10 to 90 degrees two-theta):
| d [Å] | intensity |
| --- | --- |
| 3.614 | 119 |
| 3.130 | 72 |
| 2.213 | 1000 |
| 1.565 | 168 |
| 1.278 | 342 |
| 1.107 | 114 |

For Pr12SmTm7, DFT lattice parameters and positions (GGA-PBE) gives the theoretical X-ray powder pattern in this record (a wavelength of 1.5418 Å).

Cell lengths 9.4631, 9.4631, 9.4631 Å; angles 107.92, 107.92, 107.92 degrees
Sites, in units of the cell vectors:
Pr: 0.0542 0.2953 0.4084
Pr: 0.2194 0.6731 0.3770
Pr: 0.2953 0.4084 0.0542
Pr: 0.3269 0.6230 0.7806
Pr: 0.3770 0.2194 0.6731
Pr: 0.4084 0.0542 0.2953
Pr: 0.5916 0.9458 0.7047
Pr: 0.6230 0.7806 0.3269
Pr: 0.6731 0.3770 0.2194
Pr: 0.7047 0.5916 0.9458
Pr: 0.7806 0.3269 0.6230
Pr: 0.9458 0.7047 0.5916
Sm: 0.0000 0.0000 0.0000
Tm: 0.0073 0.8964 0.3188
Tm: 0.1036 0.6812 0.9927
Tm: 0.3188 0.0073 0.8964
Tm: 0.5000 0.5000 0.5000
Tm: 0.6812 0.9927 0.1036
Tm: 0.8964 0.3188 0.0073
Tm: 0.9927 0.1036 0.6812

Main lines, sorted by position (10 to 90 degrees two-theta):
| d [Å] | intensity |
| --- | --- |
| 3.098 | 367 |
| 2.978 | 214 |
| 2.892 | 1000 |
| 2.688 | 408 |
| 2.536 | 296 |
| 1.462 | 165 |

For BaNa2As2Pd, DFT lattice parameters and positions (GGA-PBE) gives the theoretical X-ray powder pattern in this record (a wavelength of 1.5418 Å).

Cell lengths 5.5630, 5.5630, 11.5040 Å; angles 90.00, 90.00, 90.00 degrees
Sites, in units of the cell vectors:
Ba: 0.0000 0.0000 0.0000
Ba: 0.5000 0.5000 0.5000
Na: 0.0000 0.5000 0.2500
Na: 0.0000 0.5000 0.7500
Na: 0.5000 0.0000 0.2500
Na: 0.5000 0.0000 0.7500
As: 0.0000 0.0000 0.2962
As: 0.0000 0.0000 0.7038
As: 0.5000 0.5000 0.2038
As: 0.5000 0.5000 0.7962
Pd: 0.0000 0.0000 0.5000
Pd: 0.5000 0.5000 0.0000

Main lines, sorted by position (10 to 90 degrees two-theta):
| d [Å] | intensity |
| --- | --- |
| 3.934 | 1000 |
| 3.247 | 262 |
| 2.782 | 670 |
| 2.322 | 259 |
| 1.999 | 316 |
| 1.967 | 241 |

For In4SbIr, DFT lattice parameters and positions (GGA-PBE) gives the theoretical X-ray powder pattern in this record (a wavelength of 1.5418 Å).

Cell lengths 5.9189, 5.9189, 5.9189 Å; angles 60.00, 60.00, 60.00 degrees
Sites, in units of the cell vectors:
In: 0.1245 0.1245 0.1245
In: 0.1245 0.1245 0.6265
In: 0.1245 0.6265 0.1245
In: 0.6265 0.1245 0.1245
Sb: 0.5000 0.5000 0.5000
Ir: 0.7500 0.7500 0.7500

Main lines, sorted by position (10 to 90 degrees two-theta):
| d [Å] | intensity |
| --- | --- |
| 2.959 | 356 |
| 2.524 | 1000 |
| 2.416 | 317 |
| 1.709 | 143 |
| 1.611 | 332 |
| 1.480 | 271 |

Repeat the ninth record exactly.
For In4SbIr, DFT lattice parameters and positions (GGA-PBE) gives the theoretical X-ray powder pattern in this record (a wavelength of 1.5418 Å).

Cell lengths 5.9189, 5.9189, 5.9189 Å; angles 60.00, 60.00, 60.00 degrees
Sites, in units of the cell vectors:
In: 0.1245 0.1245 0.1245
In: 0.1245 0.1245 0.6265
In: 0.1245 0.6265 0.1245
In: 0.6265 0.1245 0.1245
Sb: 0.5000 0.5000 0.5000
Ir: 0.7500 0.7500 0.7500

Main lines, sorted by position (10 to 90 degrees two-theta):
| d [Å] | intensity |
| --- | --- |
| 2.959 | 356 |
| 2.524 | 1000 |
| 2.416 | 317 |
| 1.709 | 143 |
| 1.611 | 332 |
| 1.480 | 271 |